The following is a simulated powder XRD pattern of Rb2V4O9. It was derived from a structure optimized by DFT (PBE+U), using Cu Kα (λ = 1.5418 Å).

Atomic structure:
```
Rb2V4O9
1.0
5.784 0.000 0.000
0.000 5.784 0.000
0.000 0.000 15.199
Rb V O
4 8 18
Cartesian
1.353 1.488 0.000
1.488 4.431 7.600
4.295 1.353 7.600
4.431 4.295 0.000
1.233 2.032 4.554
1.233 2.032 10.646
2.032 4.551 3.046
2.032 4.551 12.153
3.752 1.233 3.046
3.752 1.233 12.153
4.551 3.752 4.554
4.551 3.752 10.646
0.703 3.949 4.360
0.703 3.949 10.839
1.570 4.208 1.479
1.570 4.208 13.720
1.575 1.570 6.121
1.575 1.570 9.079
1.835 0.703 3.239
1.835 0.703 11.960
2.892 2.892 3.800
2.892 2.892 11.399
3.949 5.081 3.239
3.949 5.081 11.960
4.208 4.214 6.121
4.208 4.214 9.079
4.214 1.575 1.479
4.214 1.575 13.720
5.081 1.835 4.360
5.081 1.835 10.839
```

Most intense lines, 10° ≤ 2θ ≤ 90°, in order of rising 2θ:
(hkl), Position (°2θ), I_rel
1 1 1, 22.51, 11.6
0 0 4, 23.38, 49.6
1 1 3, 28.04, 100.0
2 0 0, 30.92, 60.1
2 0 4, 39.13, 18.7
2 2 0, 44.30, 14.1
1 1 7, 47.40, 22.0
3 1 3, 53.24, 17.6
1 3 5, 58.92, 10.0
2 0 10, 69.92, 10.4